Entry 1:
Diffraction record for Pm2Al3Sn. The powder diffractogram is theoretical, not measured: it uses a structure optimized by DFT (GGA-PBE) and a wavelength of 1.5418 Å.
Neutral-atom scattering factors, no anomalous dispersion.

Main lines, low angle first (10 to 80 degrees two-theta):
2θ (°)  Rel. int.  index
22.92  29  0 0 2
31.45  100  1 1 1
40.20  26  0 1 3
40.37  13  0 2 0
43.27  11  2 0 0
51.83  8  1 0 4
52.02  16  1 2 2
60.53  15  2 1 3
60.65  8  2 2 0
71.97  9  3 1 1

Cell and atoms:
```
data_Pm2Al3Sn
_space_group_name_H-M_alt 'P m m 2'
_space_group_IT_number 25
_space_group_name_Hall 'P 2 -2'
_cell_length_a 4.1824
_cell_length_b 4.4686
_cell_length_c 7.7810
_cell_angle_alpha 90.00
_cell_angle_beta 90.00
_cell_angle_gamma 90.00
loop_
_atom_site_label
_atom_site_type_symbol
_atom_site_fract_x
_atom_site_fract_y
_atom_site_fract_z
Pm1 Pm 0.0000 0.0000 0.0000
Pm2 Pm 0.0000 0.5000 0.4915
Al1 Al 0.5000 0.0000 0.3256
Al2 Al 0.5000 0.0000 0.6494
Al3 Al 0.5000 0.5000 0.1725
Sn1 Sn 0.5000 0.5000 0.8320
```

***

Entry 2:
Diffraction record for Pu3CuSi2. The powder diffractogram is theoretical, not measured: it uses a structure optimized by DFT (GGA-PBE) and a wavelength of 1.5418 Å.
Neutral-atom scattering factors, no anomalous dispersion.

Main lines, low angle first (10 to 80 degrees two-theta):
2θ (°)  Rel. int.  index
12.10  25  1 0 0
24.34  36  2 0 0
25.25  28  0 1 2
33.15  82  0 2 2
34.59  41  2 1 -3
34.83  47  2 2 0
35.54  100  2 2 -2
38.86  30  0 3 1
39.40  23  2 0 2
63.52  24  2 3 3

Cell and atoms:
```
data_Pu3CuSi2
_space_group_name_H-M_alt 'P 1 21/c 1'
_space_group_IT_number 14
_space_group_name_Hall '-P 2ybc'
_cell_length_a 8.0116
_cell_length_b 7.2569
_cell_length_c 8.8538
_cell_angle_alpha 90.00
_cell_angle_beta 114.08
_cell_angle_gamma 90.00
loop_
_atom_site_label
_atom_site_type_symbol
_atom_site_fract_x
_atom_site_fract_y
_atom_site_fract_z
Pu1 Pu 0.1318 0.1639 0.4002
Pu2 Pu 0.2039 0.5075 0.6867
Pu3 Pu 0.2611 0.0188 0.7973
Cu1 Cu 0.4308 0.6507 0.0577
Si1 Si 0.1009 0.7181 0.9296
Si2 Si 0.4672 0.2408 0.6556
```

***

Entry 3:
Diffraction record for Pr6SiSe5. The powder diffractogram is theoretical, not measured: it uses a structure optimized by DFT (GGA-PBE) and a wavelength of 1.5418 Å.
Neutral-atom scattering factors, no anomalous dispersion.

Main lines, low angle first (10 to 80 degrees two-theta):
2θ (°)  Rel. int.  index
25.48  15  2 0 0
29.48  100  1 3 1
42.14  50  2 0 2
42.26  25  3 3 -1
52.35  19  4 0 0
61.18  12  2 6 2
69.26  11  0 6 4
69.35  11  3 3 3
69.47  11  4 6 0
77.21  8  5 3 1

Cell and atoms:
```
data_Pr6SiSe5
_space_group_name_H-M_alt 'C 1 2/m 1'
_space_group_IT_number 12
_space_group_name_Hall '-C 2y'
_cell_length_a 7.4054
_cell_length_b 12.8472
_cell_length_c 7.4385
_cell_angle_alpha 90.00
_cell_angle_beta 109.42
_cell_angle_gamma 90.00
loop_
_atom_site_label
_atom_site_type_symbol
_atom_site_fract_x
_atom_site_fract_y
_atom_site_fract_z
Pr1 Pr 0.2417 0.0000 0.2593
Pr2 Pr 0.2418 0.1607 0.7427
Si1 Si 0.0000 0.0000 0.5000
Se1 Se 0.0000 0.1682 0.0000
Se2 Se 0.0000 0.3331 0.5000
Se3 Se 0.0000 0.5000 0.0000
```

***

Entry 4:
Diffraction record for Nd3RhCl. The powder diffractogram is theoretical, not measured: it uses a structure optimized by DFT (GGA-PBE) and a wavelength of 1.5418 Å.
Neutral-atom scattering factors, no anomalous dispersion.

Main lines, low angle first (10 to 80 degrees two-theta):
2θ (°)  Rel. int.  index
11.55  86  0 0 1
29.51  100  0 3 1
31.69  98  1 2 1
32.98  63  1 0 2
34.24  84  1 1 2
35.90  50  1 3 0
37.80  35  1 3 1
39.72  38  0 2 3
47.21  28  2 0 0
56.66  32  2 3 1

Cell and atoms:
```
data_Nd3RhCl
_space_group_name_H-M_alt 'P m m n'
_space_group_IT_number 59
_cell_length_a 3.8503
_cell_length_b 9.8861
_cell_length_c 7.6621
_cell_angle_alpha 90.00
_cell_angle_beta 90.00
_cell_angle_gamma 90.00
loop_
_space_group_symop_operation_xyz
'x,y,z'
'-x,-y,-z'
'-x+1/2,-y+1/2,z'
'x+1/2,y+1/2,-z'
'x+1/2,-y,-z'
'-x+1/2,y,z'
'-x,y+1/2,-z'
'x,-y+1/2,z'
loop_
_atom_site_label
_atom_site_type_symbol
_atom_site_fract_x
_atom_site_fract_y
_atom_site_fract_z
Nd1 Nd 0.2500 0.0694 0.1740
Nd2 Nd 0.2500 0.2500 0.7165
Rh1 Rh 0.2500 0.7500 0.0303
Cl1 Cl 0.2500 0.7500 0.5933
```

***

Entry 5:
Diffraction record for Ti3AuO. The powder diffractogram is theoretical, not measured: it uses a structure optimized by DFT (GGA-PBE) and a wavelength of 1.5418 Å.
Neutral-atom scattering factors, no anomalous dispersion.

Main lines, low angle first (10 to 80 degrees two-theta):
2θ (°)  Rel. int.  index
11.92  76  1 1 0
14.98  42  0 2 0
29.08  34  3 1 0
30.37  27  1 3 1
35.44  24  0 0 2
37.25  22  1 1 -2
37.72  45  4 0 0
39.81  100  2 4 -1
40.30  58  2 4 1
40.80  35  2 0 2

Cell and atoms:
```
data_Ti3AuO
_space_group_name_H-M_alt 'C 1 2/c 1'
_space_group_IT_number 15
_space_group_name_Hall '-C 2yc'
_cell_length_a 9.5429
_cell_length_b 11.8259
_cell_length_c 5.0684
_cell_angle_alpha 90.00
_cell_angle_beta 91.63
_cell_angle_gamma 90.00
loop_
_atom_site_label
_atom_site_type_symbol
_atom_site_fract_x
_atom_site_fract_y
_atom_site_fract_z
Ti1 Ti 0.1226 0.0725 0.0963
Ti2 Ti 0.1241 0.3193 0.0472
Ti3 Ti 0.1290 0.1873 0.5910
Au1 Au 0.1374 0.4382 0.5558
O1 O 0.0000 0.0648 0.7500
O2 O 0.0000 0.2031 0.2500
```

***

Entry 6:
Diffraction record for Pa3Ni7P4. The powder diffractogram is theoretical, not measured: it uses a structure optimized by DFT (GGA-PBE) and a wavelength of 1.5418 Å.
Neutral-atom scattering factors, no anomalous dispersion.

Main lines, low angle first (10 to 80 degrees two-theta):
2θ (°)  Rel. int.  index
20.60  29  2 0 -2
24.65  27  2 0 1
24.89  59  1 1 -1
32.06  47  3 1 0
38.33  66  1 1 2
38.51  100  5 1 -2
38.81  67  6 0 -3
41.90  24  4 0 -4
45.76  25  6 0 0
46.19  37  0 2 0

Cell and atoms:
```
data_Pa3Ni7P4
_space_group_name_H-M_alt 'C 1 2/m 1'
_space_group_IT_number 12
_space_group_name_Hall '-C 2y'
_cell_length_a 14.6509
_cell_length_b 3.9309
_cell_length_c 8.6229
_cell_angle_alpha 90.00
_cell_angle_beta 125.70
_cell_angle_gamma 90.00
loop_
_atom_site_label
_atom_site_type_symbol
_atom_site_fract_x
_atom_site_fract_y
_atom_site_fract_z
Pa1 Pa 0.0000 0.0000 0.0000
Pa2 Pa 0.1865 0.5000 0.6907
Ni1 Ni 0.0000 0.0000 0.5000
Ni2 Ni 0.0035 0.5000 0.7128
Ni3 Ni 0.1535 0.0000 0.8869
Ni4 Ni 0.1812 0.5000 0.3329
P1 P 0.1187 0.0000 0.3982
P2 P 0.1575 0.5000 0.0364
```